Calculated powder XRD pattern
Compound: GaPHPtS
Radiation: λ = 1.5418 Å (Cu Kα)
Structure: a GGA-PBE-relaxed structure
No peak broadening, texture or thermal motion is included.

The 6 most intense peaks (5° ≤ 2θ ≤ 70°), sorted by position:
17.4°, intensity 60, hkl 0 0 1; 19.6°, intensity 100, hkl 0 1 0; 23.8°, intensity 88, hkl 0 1 -1; 26.2°, intensity 48, hkl 1 0 0; 28.4°, intensity 50, hkl 1 -1 0; 33.9°, intensity 51, hkl 1 0 1

a = 3.546 Å, b = 4.738 Å, c = 5.225 Å
α = 98.45°, β = 96.69°, γ = 103.94°
Space group P1 (No. 1)
Inequivalent atoms, fractional coordinates:
Ga1 0.000 0.000 0.000
P1 0.208 0.540 0.137
H1 0.692 0.440 0.560
Pt1 0.812 0.722 0.407
S1 0.472 0.047 0.671